# 1
Simulated powder diffractogram of SrS3 for copper Kα, from a PBE-relaxed structure.

```
data_SrS3
_cell_length_a 7.0094
_cell_length_b 8.0836
_cell_length_c 7.2802
_cell_angle_alpha 90.00
_cell_angle_beta 90.00
_cell_angle_gamma 90.00
_space_group_name_H-M_alt 'A e a 2'
_space_group_IT_number 41
_space_group_name_Hall 'A 2 -2ab'
loop_
_atom_site_label
_atom_site_type_symbol
_atom_site_fract_x
_atom_site_fract_y
_atom_site_fract_z
_atom_site_occupancy
Sr1 Sr 0.0000 0.0000 0.0000 1
S1 S 0.0000 0.0000 0.4693 1
S2 S 0.1424 0.1645 0.6424 1
```

Most intense lines, 2θ from 10° to 80°, in order of rising 2θ:
(1 1 1), 20.74 deg, intensity 52.1
(0 2 0), 21.99 deg, intensity 56.1
(0 0 2), 24.45 deg, intensity 76.0
(2 0 0), 25.42 deg, intensity 78.9
(2 1 1), 30.39 deg, intensity 39.5
(0 2 2), 33.12 deg, intensity 87.1
(2 2 0), 33.85 deg, intensity 76.1
(2 0 2), 35.56 deg, intensity 79.1
(1 3 1), 37.85 deg, intensity 55.2
(1 1 3), 40.91 deg, intensity 35.1
(2 2 2), 42.18 deg, intensity 100.0
(4 0 2), 58.48 deg, intensity 44.4

# 2
Simulated powder diffractogram of Sr5S7 for copper Kα, from a PBE-relaxed structure.

```
data_Sr5S7
_cell_length_a 4.4067
_cell_length_b 8.3397
_cell_length_c 9.9892
_cell_angle_alpha 90.09
_cell_angle_beta 102.74
_cell_angle_gamma 105.29
_space_group_name_H-M_alt 'P -1'
_space_group_IT_number 2
_space_group_name_Hall '-P 1'
loop_
_atom_site_label
_atom_site_type_symbol
_atom_site_fract_x
_atom_site_fract_y
_atom_site_fract_z
_atom_site_occupancy
Sr1 Sr 0.0000 0.0000 0.0000 1
Sr2 Sr 0.1241 0.4275 0.8205 1
Sr3 Sr 0.3286 0.2452 0.4110 1
S1 S 0.0000 0.5000 0.5000 1
S2 S 0.2337 0.3421 0.1251 1
S3 S 0.3296 0.0180 0.6430 1
S4 S 0.4957 0.1558 0.8354 1
```

Most intense lines, 2θ from 10° to 80°, in order of rising 2θ:
(1 -1 0), 21.33 deg, intensity 19.4
(0 1 2), 21.97 deg, intensity 50.1
(1 0 1), 25.25 deg, intensity 26.7
(-1 2 1), 26.78 deg, intensity 100.0
(0 1 -3), 29.07 deg, intensity 95.3
(1 -2 1), 29.15 deg, intensity 21.7
(1 2 0), 35.12 deg, intensity 47.4
(1 2 -2), 36.63 deg, intensity 18.9
(1 -3 2), 40.80 deg, intensity 32.0
(-2 1 1), 40.96 deg, intensity 41.2
(1 1 3), 42.85 deg, intensity 37.7
(2 0 -4), 50.99 deg, intensity 41.0

# 3
Simulated powder diffractogram of SrS5 for copper Kα, from a PBE-relaxed structure.

```
data_SrS5
_cell_length_a 4.8410
_cell_length_b 8.0092
_cell_length_c 8.4107
_cell_angle_alpha 90.00
_cell_angle_beta 104.99
_cell_angle_gamma 90.00
_space_group_name_H-M_alt 'P 1 21/m 1'
_space_group_IT_number 11
_space_group_name_Hall '-P 2yb'
loop_
_atom_site_label
_atom_site_type_symbol
_atom_site_fract_x
_atom_site_fract_y
_atom_site_fract_z
_atom_site_occupancy
Sr1 Sr 0.0740 0.2500 0.3929 1
S1 S 0.1895 0.5423 0.9707 1
S2 S 0.3053 0.7500 0.1268 1
S3 S 0.4371 0.5075 0.6113 1
```

Most intense lines, 2θ from 10° to 80°, in order of rising 2θ:
(0 0 2), 21.88 deg, intensity 27.3
(1 1 -1), 22.29 deg, intensity 89.7
(0 1 2), 24.57 deg, intensity 60.2
(1 2 0), 29.36 deg, intensity 32.3
(1 2 1), 33.13 deg, intensity 100.0
(2 1 -1), 38.88 deg, intensity 17.9
(2 0 -2), 39.17 deg, intensity 19.3
(0 3 2), 40.43 deg, intensity 18.3
(1 2 -3), 40.71 deg, intensity 28.6
(1 3 -2), 42.34 deg, intensity 17.1
(2 0 1), 42.93 deg, intensity 17.3
(0 4 0), 45.29 deg, intensity 18.9

# 4
Simulated powder diffractogram of SrS for copper Kα, from a PBE-relaxed structure.

```
data_SrS
_cell_length_a 6.0635
_cell_length_b 6.0635
_cell_length_c 6.0635
_cell_angle_alpha 90.00
_cell_angle_beta 90.00
_cell_angle_gamma 90.00
_space_group_name_H-M_alt 'F m -3 m'
_space_group_IT_number 225
_space_group_name_Hall '-F 4 2 3'
loop_
_atom_site_label
_atom_site_type_symbol
_atom_site_fract_x
_atom_site_fract_y
_atom_site_fract_z
_atom_site_occupancy
Sr1 Sr 0.0000 0.0000 0.0000 1
S1 S 0.0000 0.0000 0.5000 1
```

Most intense lines, 2θ from 10° to 80°, in order of rising 2θ:
(1 1 1), 25.44 deg, intensity 37.1
(2 0 0), 29.46 deg, intensity 100.0
(2 2 0), 42.15 deg, intensity 72.1
(3 1 1), 49.88 deg, intensity 19.8
(2 2 2), 52.26 deg, intensity 25.0
(4 0 0), 61.14 deg, intensity 11.6
(3 3 1), 67.31 deg, intensity 8.2
(4 2 0), 69.30 deg, intensity 31.9
(4 2 2), 77.05 deg, intensity 23.8

# 5
Simulated powder diffractogram of Sr2TaS5 for copper Kα, from a PBE-relaxed structure.

```
data_Sr2TaS5
_cell_length_a 8.6666
_cell_length_b 11.1035
_cell_length_c 5.6837
_cell_angle_alpha 90.00
_cell_angle_beta 130.71
_cell_angle_gamma 90.00
_space_group_name_H-M_alt 'C 1 m 1'
_space_group_IT_number 8
_space_group_name_Hall 'C -2y'
loop_
_atom_site_label
_atom_site_type_symbol
_atom_site_fract_x
_atom_site_fract_y
_atom_site_fract_z
_atom_site_occupancy
Sr1 Sr 0.0000 0.2266 0.0000 1
Ta1 Ta 0.0605 0.5000 0.6591 1
S1 S 0.3499 0.5000 0.6418 1
S2 S 0.3630 0.5000 0.1716 1
S3 S 0.3771 0.0000 0.8212 1
S4 S 0.4695 0.2011 0.4647 1
```

Most intense lines, 2θ from 10° to 80°, in order of rising 2θ:
(1 1 0), 15.67 deg, intensity 68.0
(1 1 -1), 17.53 deg, intensity 67.8
(0 2 1), 26.22 deg, intensity 100.0
(2 0 0), 27.15 deg, intensity 40.9
(1 3 0), 27.66 deg, intensity 24.6
(2 0 -2), 31.48 deg, intensity 18.9
(0 4 0), 32.25 deg, intensity 41.7
(1 1 1), 32.43 deg, intensity 20.7
(3 1 -2), 35.44 deg, intensity 36.4
(4 0 -2), 42.12 deg, intensity 29.0
(0 2 2), 45.15 deg, intensity 25.8
(3 5 -1), 52.27 deg, intensity 21.2

# 6
Simulated powder diffractogram of SrTa2S4 for copper Kα, from a PBE-relaxed structure.

```
data_SrTa2S4
_cell_length_a 8.1998
_cell_length_b 11.8238
_cell_length_c 11.8691
_cell_angle_alpha 90.00
_cell_angle_beta 90.00
_cell_angle_gamma 90.00
_space_group_name_H-M_alt 'F 2 2 2'
_space_group_IT_number 22
_space_group_name_Hall 'F 2 2'
loop_
_atom_site_label
_atom_site_type_symbol
_atom_site_fract_x
_atom_site_fract_y
_atom_site_fract_z
_atom_site_occupancy
Sr1 Sr 0.0000 0.0000 0.0000 1
Sr2 Sr 0.2500 0.2500 0.2500 1
Ta1 Ta 0.1248 0.1004 0.6496 1
S1 S 0.0881 0.1712 0.8465 1
S2 S 0.1620 0.0969 0.4218 1
```

Most intense lines, 2θ from 10° to 80°, in order of rising 2θ:
(1 1 1), 15.12 deg, intensity 56.4
(1 3 1), 26.15 deg, intensity 100.0
(2 2 2), 30.51 deg, intensity 37.3
(3 1 1), 34.52 deg, intensity 45.7
(1 1 5), 40.28 deg, intensity 21.5
(1 5 1), 40.46 deg, intensity 40.3
(2 4 2), 40.58 deg, intensity 19.0
(0 4 4), 43.20 deg, intensity 18.3
(0 6 0), 46.03 deg, intensity 28.4
(4 4 0), 54.43 deg, intensity 25.0
(3 3 5), 56.43 deg, intensity 21.0
(2 2 8), 69.18 deg, intensity 18.8

# 7
Simulated powder diffractogram of SrTa3S for copper Kα, from a PBE-relaxed structure.

```
data_SrTa3S
_cell_length_a 4.7516
_cell_length_b 4.7516
_cell_length_c 4.7516
_cell_angle_alpha 90.00
_cell_angle_beta 90.00
_cell_angle_gamma 90.00
_space_group_name_H-M_alt 'P m -3 m'
_space_group_IT_number 221
_space_group_name_Hall '-P 4 2 3'
loop_
_atom_site_label
_atom_site_type_symbol
_atom_site_fract_x
_atom_site_fract_y
_atom_site_fract_z
_atom_site_occupancy
Sr1 Sr 0.0000 0.0000 0.0000 1
Ta1 Ta 0.0000 0.5000 0.5000 1
S1 S 0.5000 0.5000 0.5000 1
```

Most intense lines, 2θ from 10° to 80°, in order of rising 2θ:
(1 0 0), 18.67 deg, intensity 13.3
(1 1 0), 26.53 deg, intensity 2.2
(1 1 1), 32.64 deg, intensity 100.0
(2 0 0), 37.87 deg, intensity 62.2
(2 1 0), 42.54 deg, intensity 6.3
(2 1 1), 46.83 deg, intensity 1.2
(2 2 0), 54.63 deg, intensity 43.2
(3 0 0), 58.25 deg, intensity 3.1
(3 1 1), 65.11 deg, intensity 42.1
(2 2 2), 68.39 deg, intensity 14.7
(3 2 0), 71.60 deg, intensity 1.3
(3 2 1), 74.75 deg, intensity 0.6